Structure and computed XRD peak list of TmV2BiO8 (DFT lattice parameters and positions (GGA+U); Cu Kα).
Peak positions follow from Bragg's law for the DFT cell and can differ from measured ones.

Principal peaks in the range 2θ = 10–80°, most intense first:
2θ/deg, I (rel.), index
17.68, 100, 1 0 0
32.31, 65, 1 0 2
30.88, 57, 1 1 0
45.30, 35, 0 2 2
55.83, 30, 2 1 2
41.35, 29, 1 1 2
47.99, 16, 2 1 0
73.85, 13, 1 3 2
58.51, 13, 0 1 4
22.20, 12, 0 1 1
76.18, 11, 1 2 4
35.80, 11, 2 0 0

Atomic structure:
```
12
Lattice="5.7920 0.0000 0.0000 -2.8960 5.0160 0.0000 0.0000 0.0000 6.6471" Properties=species:S:1:pos:R:3 pbc="T T T"
Tm 0.0000 0.0000 0.0000
V 0.0000 3.3440 2.0317
V 2.8960 1.6720 4.6154
Bi 0.0000 0.0000 3.3236
O 0.0000 1.6341 1.5179
O -1.4808 4.1989 1.5179
O 1.4152 0.8171 5.1292
O 0.0000 3.3440 3.6783
O 2.8960 1.6720 2.9688
O 1.4808 4.1989 1.5179
O 4.3768 0.8171 5.1292
O 2.8960 3.3819 5.1292
```